# 1
Diffraction record for Yb3Se4. The X-ray diffraction stick pattern is calculated, not measured: it uses a PBE-relaxed structure and copper Kα.
Kinematic intensities with the Lorentz-polarization factor, no thermal factor.

Peak list (10 most intense, 15° ≤ 2θ ≤ 90°, low angle first)
d/Å  two_theta  I/Imax
3.351  26.60  15
2.918  30.64  100
2.872  31.14  48
2.063  43.88  37
2.047  44.25  73
1.676  54.78  39
1.305  72.43  17
1.301  72.70  16
1.288  73.50  16
1.188  80.92  25

Cell and atoms:
Cell: 8.2483 11.4889 4.1283 Å, 90.00 90.00 90.00°
Space group Cmmm (No. 65)
Symmetry-distinct sites (fractional):
1 Yb 0.0000 0.0000 0.0000
2 Yb 0.2500 0.2500 0.5000
3 Se 0.0000 0.2513 0.0000
4 Se 0.2388 0.0000 0.5000

***

# 2
Diffraction record for Dy2SbH2. The X-ray diffraction stick pattern is calculated, not measured: it uses a PBE-relaxed structure and copper Kα.
Kinematic intensities with the Lorentz-polarization factor, no thermal factor.

Peak list (10 most intense, 15° ≤ 2θ ≤ 90°, low angle first)
d/Å  two_theta  I/Imax
2.833  31.58  100
2.758  32.46  50
2.740  32.69  100
2.292  39.31  56
1.763  51.87  25
1.753  52.17  24
1.599  57.65  18
1.589  58.06  19
1.585  58.21  14
1.294  73.11  16

Cell and atoms:
Cell: 6.3127 9.9289 11.0316 Å, 90.00 90.00 90.00°
Space group Fddd (No. 70, origin choice 2)
Symmetry-distinct sites (fractional):
1 Dy 0.1250 0.3090 0.1250
2 Sb 0.1250 0.1250 0.6250
3 H 0.1250 0.1250 0.0056

***

# 3
Diffraction record for Br2Cl. The X-ray diffraction stick pattern is calculated, not measured: it uses a PBE-relaxed structure and copper Kα.
Kinematic intensities with the Lorentz-polarization factor, no thermal factor.

Peak list (10 most intense, 15° ≤ 2θ ≤ 90°, low angle first)
d/Å  two_theta  I/Imax
4.077  21.80  100
3.666  24.28  82
3.416  26.08  76
2.539  35.35  22
2.335  38.56  21
2.331  38.62  20
2.241  40.24  19
2.145  42.12  21
2.036  44.49  28
1.910  47.62  23

Cell and atoms:
Cell: 9.5465 4.3234 12.4069 Å, 90.00 99.70 90.00°
Space group Cm (No. 8)
Symmetry-distinct sites (fractional):
1 Br 0.0000 0.0000 0.0000
2 Br 0.0680 0.5000 0.6706
3 Br 0.2473 0.0000 0.0032
4 Br 0.4016 0.5000 0.3431
5 Cl 0.1722 0.5000 0.3345
6 Cl 0.3385 0.0000 0.6612

***

# 4
Diffraction record for Tb3Er2S8. The X-ray diffraction stick pattern is calculated, not measured: it uses a PBE-relaxed structure and copper Kα.
Kinematic intensities with the Lorentz-polarization factor, no thermal factor.

Peak list (10 most intense, 15° ≤ 2θ ≤ 90°, low angle first)
d/Å  two_theta  I/Imax
5.548  15.97  42
4.225  21.03  100
3.769  23.60  93
3.366  26.48  59
3.347  26.63  45
3.221  27.70  50
2.563  35.02  82
2.498  35.95  37
2.126  42.52  68
1.944  46.73  63

Cell and atoms:
Cell: 13.6578 7.9110 6.6966 Å, 90.00 110.28 90.00°
Space group C2/m (No. 12)
Symmetry-distinct sites (fractional):
1 Tb 0.0000 0.0000 0.0000
2 Tb 0.0000 0.2630 0.5000
3 Er 0.2382 0.5000 0.1573
4 S 0.1184 0.5000 0.4008
5 S 0.1186 0.0000 0.4316
6 S 0.1260 0.2346 0.9157

***

# 5
Diffraction record for LiDy5Pd6. The X-ray diffraction stick pattern is calculated, not measured: it uses a PBE-relaxed structure and copper Kα.
Kinematic intensities with the Lorentz-polarization factor, no thermal factor.

Peak list (10 most intense, 15° ≤ 2θ ≤ 90°, low angle first)
d/Å  two_theta  I/Imax
2.453  36.64  100
2.448  36.71  66
2.436  36.89  31
1.735  52.75  11
1.729  52.96  22
1.418  65.89  17
1.415  66.01  17
1.413  66.11  11
1.409  66.33  20
1.096  89.37  10

Cell and atoms:
Cell: 8.4931 14.6178 4.9090 Å, 90.00 125.19 90.00°
Space group C2/m (No. 12)
Symmetry-distinct sites (fractional):
1 Li 0.0000 0.0000 0.0000
2 Dy 0.0000 0.1526 0.5000
3 Dy 0.0000 0.3284 0.0000
4 Dy 0.0000 0.5000 0.5000
5 Pd 0.2302 0.5000 0.2290
6 Pd 0.2417 0.3299 0.7412

***

# 6
Diffraction record for Tc2TeCl. The X-ray diffraction stick pattern is calculated, not measured: it uses a PBE-relaxed structure and copper Kα.
Kinematic intensities with the Lorentz-polarization factor, no thermal factor.

Peak list (10 most intense, 15° ≤ 2θ ≤ 90°, low angle first)
d/Å  two_theta  I/Imax
2.472  36.34  100
2.125  42.53  47
2.086  43.37  57
2.065  43.85  13
1.739  52.64  12
1.503  61.71  18
1.346  69.91  21
1.284  73.78  24
1.219  78.42  19
1.137  85.38  12

Cell and atoms:
Cell: 3.0059 3.0059 8.6928 Å, 90.00 90.00 90.00°
Space group P4mm (No. 99)
Symmetry-distinct sites (fractional):
1 Tc 0.0000 0.0000 0.0000
2 Tc 0.5000 0.5000 0.1893
3 Te 0.0000 0.0000 0.4065
4 Cl 0.5000 0.5000 0.8081

***

# 7
Diffraction record for LiNdZnN2. The X-ray diffraction stick pattern is calculated, not measured: it uses a PBE-relaxed structure and copper Kα.
Kinematic intensities with the Lorentz-polarization factor, no thermal factor.

Peak list (10 most intense, 15° ≤ 2θ ≤ 90°, low angle first)
d/Å  two_theta  I/Imax
5.664  15.65  46
3.308  26.95  93
2.930  30.51  54
2.913  30.69  100
2.832  31.59  66
2.788  32.10  97
2.653  33.79  53
2.214  40.75  39
2.093  43.22  36
1.832  49.77  48

Cell and atoms:
Cell: 5.6977 3.8723 6.4008 Å, 90.00 96.27 90.00°
Space group P2/c (No. 13)
Symmetry-distinct sites (fractional):
1 Li 0.0000 0.0244 0.2500
2 Nd 0.5000 0.2472 0.7500
3 Zn 0.0000 0.5000 0.0000
4 N 0.2611 0.2154 0.0619

***

What did the seventh record say?
Diffraction record for LiNdZnN2. The X-ray diffraction stick pattern is calculated, not measured: it uses a PBE-relaxed structure and copper Kα.
Kinematic intensities with the Lorentz-polarization factor, no thermal factor.

Peak list (10 most intense, 15° ≤ 2θ ≤ 90°, low angle first)
d/Å  two_theta  I/Imax
5.664  15.65  46
3.308  26.95  93
2.930  30.51  54
2.913  30.69  100
2.832  31.59  66
2.788  32.10  97
2.653  33.79  53
2.214  40.75  39
2.093  43.22  36
1.832  49.77  48

Cell and atoms:
Cell: 5.6977 3.8723 6.4008 Å, 90.00 96.27 90.00°
Space group P2/c (No. 13)
Symmetry-distinct sites (fractional):
1 Li 0.0000 0.0244 0.2500
2 Nd 0.5000 0.2472 0.7500
3 Zn 0.0000 0.5000 0.0000
4 N 0.2611 0.2154 0.0619

***

Copy entry 1 word for word.
Diffraction record for Yb3Se4. The X-ray diffraction stick pattern is calculated, not measured: it uses a PBE-relaxed structure and copper Kα.
Kinematic intensities with the Lorentz-polarization factor, no thermal factor.

Peak list (10 most intense, 15° ≤ 2θ ≤ 90°, low angle first)
d/Å  two_theta  I/Imax
3.351  26.60  15
2.918  30.64  100
2.872  31.14  48
2.063  43.88  37
2.047  44.25  73
1.676  54.78  39
1.305  72.43  17
1.301  72.70  16
1.288  73.50  16
1.188  80.92  25

Cell and atoms:
Cell: 8.2483 11.4889 4.1283 Å, 90.00 90.00 90.00°
Space group Cmmm (No. 65)
Symmetry-distinct sites (fractional):
1 Yb 0.0000 0.0000 0.0000
2 Yb 0.2500 0.2500 0.5000
3 Se 0.0000 0.2513 0.0000
4 Se 0.2388 0.0000 0.5000